Pm3Th4Sb8: theoretical powder diffractogram (Cu Kα, 1.54184 Å), based on DFT lattice parameters and positions (GGA-PBE).

Most intense lines, 5 to 70 degrees two-theta, by angle:
(1 1 -1), 12.07°, I 12
(2 2 0), 24.26°, I 7
(0 4 0), 28.04°, I 100
(4 0 -2), 28.18°, I 49
(4 0 0), 40.08°, I 58
(4 4 -2), 40.20°, I 57
(4 4 0), 49.71°, I 42
(4 0 2), 65.54°, I 14
(0 8 2), 65.70°, I 22
(8 4 -4), 65.92°, I 13

Structure:
```
data_Pm3Th4Sb8
_space_group_name_H-M_alt 'C 1 2/m 1'
_space_group_IT_number 12
_cell_length_a 12.6668
_cell_length_b 12.7118
_cell_length_c 8.9752
_cell_angle_alpha 90.00
_cell_angle_beta 134.76
_cell_angle_gamma 90.00
loop_
_space_group_symop_operation_xyz
'x,y,z'
'-x,-y,-z'
'-x,y,-z'
'x,-y,z'
'x+1/2,y+1/2,z'
'-x+1/2,-y+1/2,-z'
'-x+1/2,y+1/2,-z'
'x+1/2,-y+1/2,z'
loop_
_atom_site_label
_atom_site_type_symbol
_atom_site_fract_x
_atom_site_fract_y
_atom_site_fract_z
Pm1 Pm 0.0000 0.0000 0.0000
Pm2 Pm 0.2500 0.2500 0.0000
Th1 Th 0.0000 0.0000 0.5000
Th2 Th 0.0000 0.5000 0.0000
Th3 Th 0.2500 0.2500 0.5000
Sb1 Sb 0.0000 0.2492 0.0000
Sb2 Sb 0.0000 0.2538 0.5000
Sb3 Sb 0.2443 0.5000 0.4994
Sb4 Sb 0.2469 0.5000 0.9957
```